Entry 1:
Ti2V3Mo: computed powder diffractogram (a wavelength of 1.5418 Å), based on a DFT-relaxed cell (GGA-PBE, Alexandria).
Peak positions follow from Bragg's law for the DFT cell and can differ from measured ones.

Top 6 peaks for 2θ = 10–90°, in order of rising 2θ:
| 2theta | I_rel |
| --- | --- |
| 19.9 | 20 |
| 36.3 | 100 |
| 39.6 | 62 |
| 40.5 | 37 |
| 45.5 | 75 |
| 46.8 | 37 |

Structure:
Cell: 5.947 5.947 5.413 Å, 90.00 90.00 97.41°
Fractional positions:
Ti 0.070 0.573 0.750
Ti 0.427 0.930 0.750
Ti 0.573 0.070 0.250
Ti 0.930 0.427 0.250
V 0.258 0.258 0.000
V 0.258 0.258 0.500
V 0.403 0.597 0.250
V 0.597 0.403 0.750
V 0.742 0.742 0.000
V 0.742 0.742 0.500
Mo 0.079 0.921 0.250
Mo 0.921 0.079 0.750

=====

Entry 2:
TiMo6W12: computed powder diffractogram (a wavelength of 1.5418 Å), based on a DFT-relaxed cell (GGA-PBE, Alexandria).
Peak positions follow from Bragg's law for the DFT cell and can differ from measured ones.

Top 6 peaks for 2θ = 10–90°, in order of rising 2θ:
| 2theta | I_rel |
| --- | --- |
| 12.5 | 26 |
| 17.0 | 42 |
| 36.6 | 58 |
| 38.0 | 100 |
| 43.0 | 33 |
| 57.2 | 30 |

Structure:
Cell: 7.141 7.141 7.141 Å, 94.17 94.17 94.17°
Fractional positions:
Ti 0.000 0.000 0.000
Mo 0.179 0.179 0.704
Mo 0.179 0.704 0.179
Mo 0.296 0.821 0.821
Mo 0.704 0.179 0.179
Mo 0.821 0.296 0.821
Mo 0.821 0.821 0.296
W 0.136 0.500 0.864
W 0.136 0.864 0.500
W 0.189 0.490 0.490
W 0.490 0.189 0.490
W 0.490 0.490 0.189
W 0.500 0.136 0.864
W 0.500 0.864 0.136
W 0.510 0.510 0.811
W 0.510 0.811 0.510
W 0.811 0.510 0.510
W 0.864 0.136 0.500
W 0.864 0.500 0.136

=====

Entry 3:
TiMo4W: computed powder diffractogram (a wavelength of 1.5418 Å), based on a DFT-relaxed cell (GGA-PBE, Alexandria).
Peak positions follow from Bragg's law for the DFT cell and can differ from measured ones.

Top 6 peaks for 2θ = 10–90°, in order of rising 2θ:
| 2theta | I_rel |
| --- | --- |
| 19.8 | 11 |
| 40.3 | 100 |
| 40.4 | 20 |
| 58.4 | 13 |
| 73.3 | 17 |
| 73.4 | 13 |

Structure:
Cell: 5.247 5.247 5.492 Å, 121.54 121.54 50.34°
Fractional positions:
Ti 0.000 0.000 0.000
Mo 0.331 0.331 0.661
Mo 0.335 0.335 0.164
Mo 0.665 0.665 0.836
Mo 0.669 0.669 0.339
W 0.000 0.000 0.500

=====

Entry 4:
Ti2Mo5W2: computed powder diffractogram (a wavelength of 1.5418 Å), based on a DFT-relaxed cell (GGA-PBE, Alexandria).
Peak positions follow from Bragg's law for the DFT cell and can differ from measured ones.

Top 6 peaks for 2θ = 10–90°, in order of rising 2θ:
| 2theta | I_rel |
| --- | --- |
| 18.5 | 79 |
| 37.4 | 53 |
| 37.6 | 49 |
| 39.0 | 52 |
| 40.6 | 100 |
| 44.2 | 42 |

Structure:
Cell: 6.818 7.068 7.199 Å, 102.82 117.93 90.19°
Fractional positions:
Ti 0.000 0.000 0.000
Ti 0.112 0.539 0.975
Ti 0.364 0.520 0.732
Ti 0.606 0.533 0.219
Mo 0.018 0.415 0.268
Mo 0.049 0.755 0.620
Mo 0.166 0.086 0.459
Mo 0.262 0.193 0.874
Mo 0.395 0.861 0.088
Mo 0.406 0.296 0.341
Mo 0.691 0.289 0.829
Mo 0.713 0.637 0.678
Mo 0.729 0.974 0.523
Mo 0.823 0.756 0.125
W 0.309 0.724 0.380
W 0.508 0.925 0.778
W 0.703 0.137 0.175
W 0.904 0.346 0.571

=====

Entry 5:
TiMo2W4: computed powder diffractogram (a wavelength of 1.5418 Å), based on a DFT-relaxed cell (GGA-PBE, Alexandria).
Peak positions follow from Bragg's law for the DFT cell and can differ from measured ones.

Top 6 peaks for 2θ = 10–90°, in order of rising 2θ:
| 2theta | I_rel |
| --- | --- |
| 20.2 | 36 |
| 40.7 | 25 |
| 40.8 | 100 |
| 41.0 | 24 |
| 59.1 | 25 |
| 74.2 | 26 |

Structure:
Cell: 3.128 4.433 8.804 Å, 90.00 90.00 90.00°
Fractional positions:
Ti 0.000 0.000 0.000
Mo 0.000 0.000 0.500
Mo 0.500 0.500 0.500
W 0.000 0.500 0.239
W 0.000 0.500 0.761
W 0.500 0.000 0.250
W 0.500 0.000 0.750

=====

Entry 6:
Ti3Mo6W2: computed powder diffractogram (a wavelength of 1.5418 Å), based on a DFT-relaxed cell (GGA-PBE, Alexandria).
Peak positions follow from Bragg's law for the DFT cell and can differ from measured ones.

Top 6 peaks for 2θ = 10–90°, in order of rising 2θ:
| 2theta | I_rel |
| --- | --- |
| 14.3 | 82 |
| 34.1 | 43 |
| 37.6 | 41 |
| 39.7 | 94 |
| 40.6 | 100 |
| 43.8 | 35 |

Structure:
Cell: 4.783 10.330 7.755 Å, 90.00 90.00 90.00°
Fractional positions:
Ti 0.000 0.000 0.000
Ti 0.000 0.500 0.299
Ti 0.000 0.500 0.701
Ti 0.500 0.000 0.201
Ti 0.500 0.000 0.799
Ti 0.500 0.500 0.500
Mo 0.224 0.305 0.500
Mo 0.249 0.297 0.166
Mo 0.249 0.297 0.834
Mo 0.251 0.797 0.334
Mo 0.251 0.797 0.666
Mo 0.276 0.805 0.000
Mo 0.724 0.195 0.000
Mo 0.749 0.203 0.334
Mo 0.749 0.203 0.666
Mo 0.751 0.703 0.166
Mo 0.751 0.703 0.834
Mo 0.776 0.695 0.500
W 0.239 0.061 0.500
W 0.261 0.561 0.000
W 0.739 0.439 0.000
W 0.761 0.939 0.500

=====

Entry 7:
Ti4MoW: computed powder diffractogram (a wavelength of 1.5418 Å), based on a DFT-relaxed cell (GGA-PBE, Alexandria).
Peak positions follow from Bragg's law for the DFT cell and can differ from measured ones.

Top 6 peaks for 2θ = 10–90°, in order of rising 2θ:
| 2theta | I_rel |
| --- | --- |
| 18.5 | 36 |
| 29.2 | 31 |
| 39.5 | 52 |
| 39.7 | 100 |
| 57.1 | 17 |
| 71.8 | 33 |

Structure:
Cell: 4.558 4.561 9.576 Å, 90.00 90.00 90.00°
Fractional positions:
Ti 0.000 0.001 0.152
Ti 0.000 0.498 0.654
Ti 0.000 0.502 0.346
Ti 0.000 0.999 0.848
Ti 0.500 0.001 0.348
Ti 0.500 0.498 0.846
Ti 0.500 0.502 0.154
Ti 0.500 0.999 0.652
Mo 0.000 0.000 0.500
Mo 0.500 0.000 0.000
W 0.000 0.500 0.000
W 0.500 0.500 0.500

=====

Entry 8:
Ti2Mo5W4: computed powder diffractogram (a wavelength of 1.5418 Å), based on a DFT-relaxed cell (GGA-PBE, Alexandria).
Peak positions follow from Bragg's law for the DFT cell and can differ from measured ones.

Top 6 peaks for 2θ = 10–90°, in order of rising 2θ:
| 2theta | I_rel |
| --- | --- |
| 16.3 | 19 |
| 39.8 | 50 |
| 40.0 | 100 |
| 40.2 | 70 |
| 40.4 | 34 |
| 57.9 | 23 |

Structure:
Cell: 2.736 6.960 9.434 Å, 91.95 95.26 97.73°
Fractional positions:
Ti 0.172 0.229 0.184
Ti 0.828 0.771 0.816
Mo 0.000 0.500 0.000
Mo 0.060 0.407 0.723
Mo 0.222 0.044 0.636
Mo 0.778 0.956 0.364
Mo 0.940 0.593 0.277
W 0.359 0.867 0.092
W 0.401 0.683 0.544
W 0.599 0.317 0.456
W 0.641 0.133 0.908

=====

Entry 9:
TiMoW5: computed powder diffractogram (a wavelength of 1.5418 Å), based on a DFT-relaxed cell (GGA-PBE, Alexandria).
Peak positions follow from Bragg's law for the DFT cell and can differ from measured ones.

Top 6 peaks for 2θ = 10–90°, in order of rising 2θ:
| 2theta | I_rel |
| --- | --- |
| 35.0 | 21 |
| 39.0 | 17 |
| 39.2 | 15 |
| 40.5 | 100 |
| 40.7 | 16 |
| 44.3 | 30 |

Structure:
Cell: 7.268 7.268 7.268 Å, 138.41 89.80 104.81°
Fractional positions:
Ti 0.410 0.160 0.250
Ti 0.590 0.840 0.750
Mo 0.000 0.000 0.000
Mo 0.500 0.000 0.500
W 0.074 0.824 0.250
W 0.132 0.503 0.629
W 0.248 0.000 0.748
W 0.248 0.500 0.248
W 0.374 0.503 0.871
W 0.626 0.497 0.129
W 0.752 0.000 0.252
W 0.752 0.500 0.752
W 0.868 0.497 0.371
W 0.926 0.176 0.750

=====

Entry 10:
TiMo2W5: computed powder diffractogram (a wavelength of 1.5418 Å), based on a DFT-relaxed cell (GGA-PBE, Alexandria).
Peak positions follow from Bragg's law for the DFT cell and can differ from measured ones.

Top 6 peaks for 2θ = 10–90°, in order of rising 2θ:
| 2theta | I_rel |
| --- | --- |
| 19.8 | 5 |
| 28.1 | 9 |
| 40.2 | 100 |
| 58.2 | 17 |
| 73.1 | 34 |
| 86.9 | 11 |

Structure:
Cell: 5.491 5.491 5.491 Å, 109.47 109.47 109.48°
Fractional positions:
Ti 0.000 0.000 0.000
Mo 0.000 0.500 0.500
Mo 0.500 0.000 0.500
W 0.000 0.000 0.500
W 0.000 0.500 0.000
W 0.500 0.000 0.000
W 0.500 0.500 0.000
W 0.500 0.500 0.500

=====

Entry 11:
ZrTi5Mo2: computed powder diffractogram (a wavelength of 1.5418 Å), based on a DFT-relaxed cell (GGA-PBE, Alexandria).
Peak positions follow from Bragg's law for the DFT cell and can differ from measured ones.

Top 6 peaks for 2θ = 10–90°, in order of rising 2θ:
| 2theta | I_rel |
| --- | --- |
| 10.3 | 68 |
| 34.4 | 49 |
| 36.8 | 61 |
| 38.3 | 85 |
| 38.6 | 84 |
| 39.5 | 100 |

Structure:
Cell: 3.139 8.679 10.579 Å, 95.53 92.49 98.05°
Fractional positions:
Zr 0.087 0.404 0.247
Zr 0.913 0.596 0.753
Ti 0.180 0.389 0.951
Ti 0.232 0.373 0.534
Ti 0.446 0.760 0.238
Ti 0.448 0.831 0.947
Ti 0.490 0.870 0.660
Ti 0.510 0.130 0.340
Ti 0.552 0.169 0.053
Ti 0.554 0.240 0.762
Ti 0.768 0.627 0.466
Ti 0.820 0.611 0.049
Mo 0.006 0.030 0.851
Mo 0.096 0.891 0.426
Mo 0.904 0.109 0.574
Mo 0.994 0.970 0.149

=====

Entry 12:
TlMo3: computed powder diffractogram (a wavelength of 1.5418 Å), based on a DFT-relaxed cell (GGA-PBE, Alexandria).
Peak positions follow from Bragg's law for the DFT cell and can differ from measured ones.

Top 6 peaks for 2θ = 10–90°, in order of rising 2θ:
| 2theta | I_rel |
| --- | --- |
| 37.9 | 28 |
| 38.9 | 100 |
| 39.2 | 24 |
| 55.7 | 16 |
| 69.2 | 18 |
| 70.8 | 13 |

Structure:
Cell: 2.875 2.875 9.198 Å, 90.00 90.00 111.15°
Fractional positions:
Tl 0.000 0.000 0.000
Mo 0.000 0.000 0.500
Mo 0.500 0.500 0.272
Mo 0.500 0.500 0.728

=====

Entry 13:
TlMo3: computed powder diffractogram (a wavelength of 1.5418 Å), based on a DFT-relaxed cell (GGA-PBE, Alexandria).
Peak positions follow from Bragg's law for the DFT cell and can differ from measured ones.

Top 6 peaks for 2θ = 10–90°, in order of rising 2θ:
| 2theta | I_rel |
| --- | --- |
| 38.9 | 100 |
| 39.4 | 47 |
| 56.9 | 15 |
| 70.1 | 17 |
| 71.0 | 17 |
| 71.2 | 14 |

Structure:
Cell: 5.373 5.373 5.373 Å, 144.08 129.54 63.48°
Fractional positions:
Tl 0.000 0.000 0.000
Mo 0.267 0.767 0.500
Mo 0.500 0.500 0.000
Mo 0.733 0.233 0.500